Diffraction record for Nd2Ho2CI2Br2Cl. The powder X-ray diffraction pattern is simulated, not measured: it uses a cell relaxed with GGA-PBE and CuKα.

Largest 8 diffraction maxima, in order of falling intensity, 2θ = 10–90°:
2θ/deg  I_rel
31.58  100.0
11.07  69.5
43.38  44.3
33.28  39.4
28.96  37.2
32.64  33.5
46.24  18.3
33.42  16.1

Cell: 9.6694 9.6694 8.1817 Å, 102.08 102.08 23.43°
Fractional coordinates of all 10 atoms:
Nd (0.9999, 0.9999, 0.2138)
Nd (0.0001, 0.0001, 0.7862)
Ho (0.3703, 0.3703, 0.9318)
Ho (0.6297, 0.6297, 0.0682)
C (0.5000, 0.5000, 0.0000)
I (0.1728, 0.1728, 0.8185)
I (0.8272, 0.8272, 0.1815)
Br (0.1620, 0.1620, 0.3283)
Br (0.8380, 0.8380, 0.6717)
Cl (0.5000, 0.5000, 0.5000)